For CsRh2O4, the GGA-PBE geometry in Alexandria gives the simulated X-ray diffraction stick pattern in this record (Cu Kα).
No peak broadening, texture or thermal motion is included.

Top 10 peaks for 2θ = 5–70°, low angle first:
| 2θ/deg | intensity |
| --- | --- |
| 12.89 | 83 |
| 17.59 | 34 |
| 18.18 | 37 |
| 25.94 | 100 |
| 32.41 | 95 |
| 33.71 | 47 |
| 41.42 | 83 |
| 42.51 | 43 |
| 44.08 | 36 |
| 63.00 | 29 |

a b c (Å): 7.431 7.431 5.324
angles (deg): 108.25 108.25 25.13
Element x y z (fractional)
Cs 0.000 0.000 0.000
Rh 0.253 0.253 0.256
Rh 0.747 0.747 0.744
O 0.177 0.177 0.521
O 0.318 0.318 0.967
O 0.682 0.682 0.033
O 0.823 0.823 0.479